1.
Diffraction record for Sc5In2Hg2. The powder X-ray diffraction pattern is simulated, not measured: it uses a cell relaxed with GGA-PBE and a wavelength of 1.5418 Å.
Lines closer than 0.1° are merged.

abc: 8.6955 8.6955 6.8213
angles: 90.00 90.00 56.19
Positions (direct):
Sc 0.0000 0.0000 0.0000
Sc 0.0481 0.6729 0.6610
Sc 0.1729 0.5481 0.1610
Sc 0.3271 0.9519 0.6610
Sc 0.4519 0.8271 0.1610
Sc 0.5000 0.5000 0.5000
Sc 0.5481 0.1729 0.8390
Sc 0.6729 0.0481 0.3390
Sc 0.8271 0.4519 0.8390
Sc 0.9519 0.3271 0.3390
In 0.2112 0.2112 0.0000
In 0.2888 0.2888 0.5000
In 0.7112 0.7112 0.5000
In 0.7888 0.7888 0.0000
Hg 0.1460 0.8540 0.3781
Hg 0.3540 0.6460 0.8781
Hg 0.6460 0.3540 0.1219
Hg 0.8540 0.1460 0.6219

Top 10 peaks for 10 to 90 degrees two-theta, in order of falling intensity:
2θ/deg  Rel. int.
33.42  100.0
35.91  74.0
24.32  71.1
27.95  65.1
34.64  61.5
11.54  57.9
23.19  50.6
46.47  50.1
41.08  38.1
44.82  35.0

=====

2.
Diffraction record for In2Hg4Se. The powder X-ray diffraction pattern is simulated, not measured: it uses a cell relaxed with GGA-PBE and a wavelength of 1.5418 Å.
Lines closer than 0.1° are merged.

abc: 4.1796 4.1796 13.4790
angles: 98.37 98.37 58.97
Positions (direct):
In 0.2106 0.2106 0.1312
In 0.7894 0.7894 0.8688
Hg 0.0742 0.0742 0.7193
Hg 0.3587 0.3587 0.5740
Hg 0.6413 0.6413 0.4260
Hg 0.9258 0.9258 0.2807
Se 0.5000 0.5000 0.0000

Top 10 peaks for 10 to 90 degrees two-theta, in order of falling intensity:
2θ/deg  Rel. int.
29.35  100.0
40.60  27.4
43.31  23.6
39.95  14.3
53.76  12.4
44.01  12.1
60.94  8.3
47.92  8.2
52.62  6.6
66.14  6.2